Diffraction record for As2O3. The powder diffraction line list is simulated, not measured: it uses a DFT-relaxed cell (GGA-PBE, the Materials Project) and λ = 1.5418 Å (Cu Kα).

Most intense lines, 5° ≤ 2θ ≤ 70°, low angle first:
2θ = 13.1°, d = 6.746 Å, intensity 96
2θ = 26.4°, d = 3.373 Å, intensity 100
2θ = 30.6°, d = 2.921 Å, intensity 27
2θ = 33.4°, d = 2.681 Å, intensity 45
2θ = 40.1°, d = 2.249 Å, intensity 24
2θ = 56.2°, d = 1.636 Å, intensity 27

Structure:
```
As2O3
1.0
0.0000 5.8420 5.8420
5.8420 0.0000 5.8420
5.8420 5.8420 0.0000
As O
8 12
Direct
0.1718 0.7761 0.7761
0.2239 0.2239 0.2239
0.2239 0.2239 0.8282
0.2239 0.8282 0.2239
0.7761 0.1718 0.7761
0.7761 0.7761 0.1718
0.7761 0.7761 0.7761
0.8282 0.2239 0.2239
0.0445 0.0445 0.7055
0.0445 0.7055 0.0445
0.0445 0.7055 0.7055
0.2945 0.2945 0.9555
0.2945 0.9555 0.2945
0.2945 0.9555 0.9555
0.7055 0.0445 0.0445
0.7055 0.0445 0.7055
0.7055 0.7055 0.0445
0.9555 0.2945 0.2945
0.9555 0.2945 0.9555
0.9555 0.9555 0.2945
```

=====

Diffraction record for Li2BF5. The powder diffraction line list is simulated, not measured: it uses a DFT-relaxed cell (GGA-PBE, the Materials Project) and λ = 1.5418 Å (Cu Kα).

Most intense lines, 5° ≤ 2θ ≤ 70°, low angle first:
2θ = 27.9°, d = 3.200 Å, intensity 62
2θ = 28.2°, d = 3.166 Å, intensity 100
2θ = 37.3°, d = 2.410 Å, intensity 65
2θ = 41.0°, d = 2.199 Å, intensity 34
2θ = 44.6°, d = 2.031 Å, intensity 82
2θ = 57.6°, d = 1.601 Å, intensity 25

Structure:
```
Li2BF5
1.0
-2.6270 2.6270 6.0532
2.6270 -2.6270 6.0532
2.6270 2.6270 -6.0532
Li B F
4 2 10
Direct
0.0000 0.0000 0.0000
0.0000 0.0000 0.5000
0.0000 0.5000 0.0000
0.5000 0.0000 0.5000
0.3750 0.6250 0.7500
0.6250 0.3750 0.2500
0.1250 0.8750 0.2500
0.2199 0.6916 0.5283
0.3084 0.3367 0.5283
0.3084 0.7801 0.9717
0.3367 0.3084 0.0283
0.6633 0.6916 0.9717
0.6916 0.2199 0.0283
0.6916 0.6633 0.4717
0.7801 0.3084 0.4717
0.8750 0.1250 0.7500
```

=====

Diffraction record for BaBiF7. The powder diffraction line list is simulated, not measured: it uses a DFT-relaxed cell (GGA-PBE, the Materials Project) and λ = 1.5418 Å (Cu Kα).

Most intense lines, 5° ≤ 2θ ≤ 70°, low angle first:
2θ = 19.3°, d = 4.592 Å, intensity 100
2θ = 19.8°, d = 4.489 Å, intensity 73
2θ = 22.4°, d = 3.967 Å, intensity 50
2θ = 24.6°, d = 3.626 Å, intensity 72
2θ = 24.9°, d = 3.581 Å, intensity 63
2θ = 26.9°, d = 3.318 Å, intensity 40

Structure:
```
BaBiF7
1.0
5.7958 0.0000 0.0000
0.0000 10.2035 0.0000
-0.3792 0.0000 10.5244
Ba Bi F
4 4 28
Direct
0.1917 0.1692 0.0079
0.1917 0.3308 0.5079
0.8083 0.6692 0.4921
0.8083 0.8308 0.9921
0.3152 0.6092 0.1865
0.3152 0.8908 0.6865
0.6848 0.1092 0.3135
0.6848 0.3908 0.8135
0.0169 0.6975 0.2427
0.0169 0.8025 0.7427
0.0905 0.5356 0.6192
0.0905 0.9644 0.1192
0.1524 0.0588 0.6305
0.1524 0.4412 0.1305
0.2446 0.7025 0.0156
0.2446 0.7975 0.5156
0.3806 0.0510 0.3876
0.3806 0.4490 0.8876
0.3979 0.5409 0.3673
0.3979 0.9591 0.8673
0.4898 0.2312 0.7545
0.4898 0.2688 0.2545
0.5102 0.7312 0.7455
0.5102 0.7688 0.2455
0.6021 0.0409 0.1327
0.6021 0.4591 0.6327
0.6194 0.5510 0.1124
0.6194 0.9490 0.6124
0.7554 0.2025 0.4844
0.7554 0.2975 0.9844
0.8476 0.5588 0.8695
0.8476 0.9412 0.3695
0.9095 0.0356 0.8808
0.9095 0.4644 0.3808
0.9831 0.1975 0.2573
0.9831 0.3025 0.7573
```

=====

Diffraction record for Na8NO3. The powder diffraction line list is simulated, not measured: it uses a DFT-relaxed cell (GGA-PBE, the Materials Project) and λ = 1.5418 Å (Cu Kα).

Most intense lines, 5° ≤ 2θ ≤ 70°, low angle first:
2θ = 27.3°, d = 3.264 Å, intensity 20
2θ = 31.6°, d = 2.827 Å, intensity 38
2θ = 45.4°, d = 1.999 Å, intensity 100
2θ = 53.8°, d = 1.705 Å, intensity 5
2θ = 56.4°, d = 1.632 Å, intensity 10
2θ = 66.1°, d = 1.414 Å, intensity 13

Structure:
```
Na8NO3
1.0
5.6541 0.0000 0.0000
0.0000 5.6541 0.0000
0.0000 0.0000 5.6541
Na N O
8 1 3
Direct
0.2474 0.2474 0.2474
0.2474 0.2474 0.7526
0.2474 0.7526 0.2474
0.2474 0.7526 0.7526
0.7526 0.2474 0.2474
0.7526 0.2474 0.7526
0.7526 0.7526 0.2474
0.7526 0.7526 0.7526
0.5000 0.5000 0.5000
0.0000 0.0000 0.5000
0.0000 0.5000 0.0000
0.5000 0.0000 0.0000
```

=====

Diffraction record for Li3Hg. The powder diffraction line list is simulated, not measured: it uses a DFT-relaxed cell (GGA-PBE, the Materials Project) and λ = 1.5418 Å (Cu Kα).

Most intense lines, 5° ≤ 2θ ≤ 70°, low angle first:
2θ = 21.6°, d = 4.120 Å, intensity 32
2θ = 24.0°, d = 3.708 Å, intensity 100
2θ = 30.4°, d = 2.936 Å, intensity 28
2θ = 37.6°, d = 2.391 Å, intensity 39
2θ = 39.3°, d = 2.291 Å, intensity 29
2θ = 50.4°, d = 1.812 Å, intensity 28

Structure:
```
Li3Hg
1.0
4.1526 0.0000 0.0000
0.0000 4.1526 0.0000
0.0000 0.0000 8.2405
Li Hg
6 2
Direct
0.0000 0.0000 0.0000
0.0000 0.5000 0.2500
0.0000 0.5000 0.7500
0.5000 0.0000 0.2500
0.5000 0.0000 0.7500
0.5000 0.5000 0.5000
0.0000 0.0000 0.5000
0.5000 0.5000 0.0000
```

=====

Diffraction record for Hf2Ni21B6. The powder diffraction line list is simulated, not measured: it uses a DFT-relaxed cell (GGA-PBE, the Materials Project) and λ = 1.5418 Å (Cu Kα).

Most intense lines, 5° ≤ 2θ ≤ 70°, low angle first:
2θ = 38.0°, d = 2.366 Å, intensity 78
2θ = 41.8°, d = 2.160 Å, intensity 72
2θ = 44.5°, d = 2.036 Å, intensity 100
2θ = 48.7°, d = 1.870 Å, intensity 39
2θ = 51.1°, d = 1.788 Å, intensity 26
2θ = 57.8°, d = 1.595 Å, intensity 22

Structure:
```
Hf2Ni21B6
1.0
0.0000 5.2900 5.2900
5.2900 0.0000 5.2900
5.2900 5.2900 0.0000
Hf Ni B
2 21 6
Direct
0.2500 0.2500 0.2500
0.7500 0.7500 0.7500
0.0000 0.0000 0.0000
0.0000 0.0000 0.3395
0.0000 0.0000 0.6605
0.0000 0.3395 0.0000
0.0000 0.3395 0.6605
0.0000 0.6605 0.0000
0.0000 0.6605 0.3395
0.1581 0.6140 0.6140
0.3395 0.0000 0.0000
0.3395 0.0000 0.6605
0.3395 0.6605 0.0000
0.3860 0.3860 0.3860
0.3860 0.3860 0.8419
0.3860 0.8419 0.3860
0.6140 0.1581 0.6140
0.6140 0.6140 0.1581
0.6140 0.6140 0.6140
0.6605 0.0000 0.0000
0.6605 0.0000 0.3395
0.6605 0.3395 0.0000
0.8419 0.3860 0.3860
0.2675 0.2675 0.7325
0.2675 0.7325 0.2675
0.2675 0.7325 0.7325
0.7325 0.2675 0.2675
0.7325 0.2675 0.7325
0.7325 0.7325 0.2675
```

=====

Diffraction record for LiTm4Ge4. The powder diffraction line list is simulated, not measured: it uses a DFT-relaxed cell (GGA-PBE, the Materials Project) and λ = 1.5418 Å (Cu Kα).

Most intense lines, 5° ≤ 2θ ≤ 70°, low angle first:
2θ = 32.5°, d = 2.753 Å, intensity 76
2θ = 33.6°, d = 2.666 Å, intensity 100
2θ = 34.2°, d = 2.624 Å, intensity 43
2θ = 36.5°, d = 2.459 Å, intensity 38
2θ = 40.2°, d = 2.245 Å, intensity 33
2θ = 59.4°, d = 1.557 Å, intensity 26

Structure:
```
LiTm4Ge4
1.0
7.0469 0.0000 0.0000
0.0000 14.4752 0.0000
0.0000 0.0000 7.6217
Li Tm Ge
4 16 16
Direct
0.1584 0.2500 0.0214
0.3416 0.7500 0.5214
0.6584 0.2500 0.4786
0.8416 0.7500 0.9786
0.0141 0.5966 0.6859
0.0141 0.9034 0.6859
0.1719 0.6278 0.1760
0.1719 0.8722 0.1760
0.3281 0.1278 0.6760
0.3281 0.3722 0.6760
0.4859 0.0966 0.1859
0.4859 0.4034 0.1859
0.5141 0.5966 0.8141
0.5141 0.9034 0.8141
0.6719 0.6278 0.3240
0.6719 0.8722 0.3240
0.8281 0.1278 0.8240
0.8281 0.3722 0.8240
0.9859 0.0966 0.3141
0.9859 0.4034 0.3141
0.0173 0.2500 0.5885
0.1678 0.0374 0.9659
0.1678 0.4626 0.9659
0.2152 0.7500 0.8625
0.2848 0.2500 0.3625
0.3322 0.5374 0.4659
0.3322 0.9626 0.4659
0.4827 0.7500 0.0885
0.5173 0.2500 0.9115
0.6678 0.0374 0.5341
0.6678 0.4626 0.5341
0.7152 0.7500 0.6375
0.7848 0.2500 0.1375
0.8322 0.5374 0.0341
0.8322 0.9626 0.0341
0.9827 0.7500 0.4115
```

=====

Diffraction record for Hf9NiW4. The powder diffraction line list is simulated, not measured: it uses a DFT-relaxed cell (GGA-PBE, the Materials Project) and λ = 1.5418 Å (Cu Kα).

Most intense lines, 5° ≤ 2θ ≤ 70°, low angle first:
2θ = 33.9°, d = 2.648 Å, intensity 25
2θ = 37.3°, d = 2.414 Å, intensity 77
2θ = 38.0°, d = 2.368 Å, intensity 100
2θ = 39.8°, d = 2.263 Å, intensity 48
2θ = 62.9°, d = 1.477 Å, intensity 27
2θ = 66.5°, d = 1.407 Å, intensity 28

Structure:
```
Hf9NiW4
1.0
8.7218 0.0000 0.0000
-4.3609 7.5533 0.0000
0.0000 0.0000 8.4820
Hf Ni W
18 2 8
Direct
0.0822 0.5411 0.2500
0.1993 0.3986 0.5587
0.1993 0.3986 0.9413
0.1993 0.8007 0.5587
0.1993 0.8007 0.9413
0.3986 0.1993 0.0587
0.3986 0.1993 0.4413
0.4589 0.5411 0.2500
0.4589 0.9178 0.2500
0.5411 0.0822 0.7500
0.5411 0.4589 0.7500
0.6014 0.8007 0.5587
0.6014 0.8007 0.9413
0.8007 0.1993 0.0587
0.8007 0.1993 0.4413
0.8007 0.6014 0.0587
0.8007 0.6014 0.4413
0.9178 0.4589 0.7500
0.3333 0.6667 0.7500
0.6667 0.3333 0.2500
0.0000 0.0000 0.0000
0.0000 0.0000 0.5000
0.1117 0.2235 0.2500
0.1117 0.8883 0.2500
0.2235 0.1117 0.7500
0.7765 0.8883 0.2500
0.8883 0.1117 0.7500
0.8883 0.7765 0.7500
```